# RbMgH3
Computed powder XRD pattern, Cu Kα (weighted mean of Kα1 and Kα2). Input: a PBE-relaxed structure.
Neutral-atom scattering factors, no anomalous dispersion.

Largest 10 diffraction maxima, in order of rising 2θ, 10° ≤ 2θ ≤ 90°:
Position (°2θ)	d [Å]	I/Imax
21.4	4.150	274
25.6	3.480	501
30.4	2.943	1000
30.6	2.925	661
40.1	2.247	168
43.6	2.075	259
51.1	1.786	154
54.0	1.699	191
54.1	1.696	256
87.8	1.112	162

```
RbMgH3
1.0
5.8867 0.0000 0.0000
-2.9433 5.0980 0.0000
0.0000 0.0000 14.2862
Rb Mg H
6 6 18
Direct
0.0000 0.0000 0.2500 Rb
0.0000 0.0000 0.7500 Rb
0.3333 0.6667 0.0953 Rb
0.3333 0.6667 0.4047 Rb
0.6667 0.3333 0.5953 Rb
0.6667 0.3333 0.9047 Rb
0.0000 0.0000 0.0000 Mg
0.0000 0.0000 0.5000 Mg
0.3333 0.6667 0.6540 Mg
0.3333 0.6667 0.8460 Mg
0.6667 0.3333 0.1540 Mg
0.6667 0.3333 0.3460 Mg
0.0457 0.5228 0.7500 H
0.1659 0.3319 0.5798 H
0.1659 0.3319 0.9202 H
0.1659 0.8341 0.5798 H
0.1659 0.8341 0.9202 H
0.3319 0.1659 0.0798 H
0.3319 0.1659 0.4202 H
0.4772 0.5228 0.7500 H
0.4772 0.9543 0.7500 H
0.5228 0.0457 0.2500 H
0.5228 0.4772 0.2500 H
0.6681 0.8341 0.5798 H
0.6681 0.8341 0.9202 H
0.8341 0.1659 0.0798 H
0.8341 0.1659 0.4202 H
0.8341 0.6681 0.0798 H
0.8341 0.6681 0.4202 H
0.9543 0.4772 0.2500 H
```

---

# Mg3ReH7
Computed powder XRD pattern, Cu Kα (weighted mean of Kα1 and Kα2). Input: a PBE-relaxed structure.
Neutral-atom scattering factors, no anomalous dispersion.

Largest 10 diffraction maxima, in order of rising 2θ, 10° ≤ 2θ ≤ 90°:
Position (°2θ)	d [Å]	I/Imax
16.7	5.301	642
21.3	4.172	1000
27.2	3.278	652
37.3	2.408	479
40.3	2.237	518
41.2	2.193	389
46.8	1.941	152
51.3	1.782	239
56.1	1.639	204
69.4	1.355	211

```
Mg3ReH7
1.0
4.8169 0.0000 0.0000
-2.4084 4.1715 0.0000
0.0000 0.0000 10.6011
Mg Re H
6 2 14
Direct
0.0000 0.0000 0.2500 Mg
0.0000 0.0000 0.7500 Mg
0.3333 0.6667 0.0692 Mg
0.3333 0.6667 0.4308 Mg
0.6667 0.3333 0.5692 Mg
0.6667 0.3333 0.9308 Mg
0.0000 0.0000 0.0000 Re
0.0000 0.0000 0.5000 Re
0.1699 0.3398 0.5983 H
0.1699 0.3398 0.9017 H
0.1699 0.8301 0.5983 H
0.1699 0.8301 0.9017 H
0.3333 0.6667 0.2500 H
0.3398 0.1699 0.0983 H
0.3398 0.1699 0.4017 H
0.6602 0.8301 0.5983 H
0.6602 0.8301 0.9017 H
0.6667 0.3333 0.7500 H
0.8301 0.1699 0.0983 H
0.8301 0.1699 0.4017 H
0.8301 0.6602 0.0983 H
0.8301 0.6602 0.4017 H
```

---

# MgH2Rh
Computed powder XRD pattern, Cu Kα (weighted mean of Kα1 and Kα2). Input: a PBE-relaxed structure.
Neutral-atom scattering factors, no anomalous dispersion.

Largest 10 diffraction maxima, in order of rising 2θ, 10° ≤ 2θ ≤ 90°:
Position (°2θ)	d [Å]	I/Imax
26.6	3.352	1000
37.8	2.380	960
38.1	2.360	994
46.8	1.940	195
54.8	1.676	340
61.7	1.504	162
62.1	1.494	159
68.3	1.374	139
68.5	1.370	311
69.1	1.359	166

```
MgH2Rh
1.0
4.7595 0.0000 0.0000
-2.3797 4.1218 0.0000
0.0000 0.0000 5.7582
Mg H Rh
3 6 3
Direct
0.0000 0.6705 0.1667 Mg
0.3295 0.3295 0.5000 Mg
0.6705 0.0000 0.8333 Mg
0.1240 0.4985 0.8588 H
0.3745 0.8760 0.5254 H
0.4985 0.1240 0.1412 H
0.5015 0.6255 0.1921 H
0.6255 0.5015 0.8079 H
0.8760 0.3745 0.4746 H
0.0000 0.7007 0.6667 Rh
0.2993 0.2993 0.0000 Rh
0.7007 0.0000 0.3333 Rh
```

---

# Mg2H7Rh2
Computed powder XRD pattern, Cu Kα (weighted mean of Kα1 and Kα2). Input: a PBE-relaxed structure.
Neutral-atom scattering factors, no anomalous dispersion.

Largest 10 diffraction maxima, in order of rising 2θ, 10° ≤ 2θ ≤ 90°:
Position (°2θ)	d [Å]	I/Imax
19.7	4.508	835
25.9	3.443	1000
34.0	2.637	921
38.5	2.339	575
39.6	2.276	531
40.0	2.254	227
44.6	2.032	172
51.1	1.789	424
53.5	1.713	143
61.4	1.509	170

```
Mg2H7Rh2
1.0
2.7689 -4.5075 0.0000
2.7689 4.5075 0.0000
-1.2513 0.0000 3.8981
Mg H Rh
2 7 2
Direct
0.1955 0.8045 0.0000 Mg
0.8045 0.1955 0.0000 Mg
0.0599 0.0599 0.2978 H
0.0624 0.4311 0.7007 H
0.4311 0.0624 0.7007 H
0.5000 0.5000 0.5000 H
0.5689 0.9376 0.2993 H
0.9376 0.5689 0.2993 H
0.9401 0.9401 0.7022 H
0.2663 0.2663 0.7190 Rh
0.7337 0.7337 0.2810 Rh
```

---

# Mg3H9Rh2
Computed powder XRD pattern, Cu Kα (weighted mean of Kα1 and Kα2). Input: a PBE-relaxed structure.
Neutral-atom scattering factors, no anomalous dispersion.

Largest 10 diffraction maxima, in order of rising 2θ, 10° ≤ 2θ ≤ 90°:
Position (°2θ)	d [Å]	I/Imax
18.1	4.907	364
23.1	3.847	1000
28.0	3.186	479
29.7	3.011	136
36.6	2.454	230
40.6	2.221	589
43.8	2.069	276
44.2	2.047	589
61.6	1.505	224
76.4	1.246	225

```
Mg3H9Rh2
1.0
3.8474 2.2213 4.8357
-3.8474 2.2213 4.8357
0.0000 -4.4426 4.8357
Mg H Rh
6 18 4
Direct
0.0834 0.4166 0.7500 Mg
0.2500 0.9166 0.5834 Mg
0.4166 0.7500 0.0834 Mg
0.5834 0.2500 0.9166 Mg
0.7500 0.0834 0.4166 Mg
0.9166 0.5834 0.2500 Mg
0.0871 0.7390 0.9128 H
0.0872 0.9129 0.2610 H
0.0923 0.2500 0.4077 H
0.2390 0.5871 0.4128 H
0.2500 0.4077 0.0923 H
0.2610 0.0872 0.9129 H
0.4077 0.0923 0.2500 H
0.4128 0.2390 0.5871 H
0.4129 0.5872 0.7610 H
0.5871 0.4128 0.2390 H
0.5872 0.7610 0.4129 H
0.5923 0.9077 0.7500 H
0.7390 0.9128 0.0871 H
0.7500 0.5923 0.9077 H
0.7610 0.4129 0.5872 H
0.9077 0.7500 0.5923 H
0.9128 0.0871 0.7390 H
0.9129 0.2610 0.0872 H
0.1550 0.1550 0.1550 Rh
0.3450 0.3450 0.3450 Rh
0.6550 0.6550 0.6550 Rh
0.8450 0.8450 0.8450 Rh
```

---

# MgH5Rh2
Computed powder XRD pattern, Cu Kα (weighted mean of Kα1 and Kα2). Input: a PBE-relaxed structure.
Neutral-atom scattering factors, no anomalous dispersion.

Largest 10 diffraction maxima, in order of rising 2θ, 10° ≤ 2θ ≤ 90°:
Position (°2θ)	d [Å]	I/Imax
21.2	4.191	814
30.5	2.933	150
34.2	2.618	638
37.3	2.412	428
37.7	2.388	388
40.6	2.221	1000
43.6	2.075	229
62.9	1.478	159
70.0	1.344	195
75.7	1.257	182

```
MgH5Rh2
1.0
-1.5653 2.3883 4.1911
1.5653 -2.3883 4.1911
1.5653 2.3883 -4.1911
Mg H Rh
1 5 2
Direct
0.0000 0.0000 0.0000 Mg
0.1327 0.3453 0.7874 H
0.4420 0.6547 0.7874 H
0.5000 0.0000 0.5000 H
0.5580 0.3453 0.2126 H
0.8673 0.6547 0.2126 H
0.2903 0.7903 0.5000 Rh
0.7097 0.2097 0.5000 Rh
```

---

# MgH6Rh
Computed powder XRD pattern, Cu Kα (weighted mean of Kα1 and Kα2). Input: a PBE-relaxed structure.
Neutral-atom scattering factors, no anomalous dispersion.

Largest 10 diffraction maxima, in order of rising 2θ, 10° ≤ 2θ ≤ 90°:
Position (°2θ)	d [Å]	I/Imax
23.5	3.793	167
24.1	3.692	1000
27.5	3.243	109
36.5	2.465	246
40.2	2.245	175
41.6	2.170	222
42.8	2.113	170
46.6	1.948	165
52.7	1.738	116
66.2	1.411	87

```
MgH6Rh
1.0
2.7861 -3.2430 0.0000
2.7861 3.2430 0.0000
0.0000 0.0000 7.5862
Mg H Rh
2 12 2
Direct
0.0000 0.0000 0.2500 Mg
0.0000 0.0000 0.7500 Mg
0.0000 0.5000 0.2198 H
0.0000 0.5000 0.7802 H
0.1359 0.8012 0.5000 H
0.1988 0.8641 0.0000 H
0.4196 0.5594 0.0000 H
0.4406 0.5804 0.5000 H
0.5000 0.0000 0.2802 H
0.5000 0.0000 0.7198 H
0.5594 0.4196 0.5000 H
0.5804 0.4406 0.0000 H
0.8012 0.1359 0.0000 H
0.8641 0.1988 0.5000 H
0.0000 0.5000 0.0000 Rh
0.5000 0.0000 0.5000 Rh
```

---

# Mg2H8Rh3
Computed powder XRD pattern, Cu Kα (weighted mean of Kα1 and Kα2). Input: a PBE-relaxed structure.
Neutral-atom scattering factors, no anomalous dispersion.

Largest 10 diffraction maxima, in order of rising 2θ, 10° ≤ 2θ ≤ 90°:
Position (°2θ)	d [Å]	I/Imax
19.5	4.557	341
21.8	4.080	1000
27.9	3.196	276
35.8	2.509	266
37.3	2.410	664
38.0	2.368	520
41.6	2.171	522
44.4	2.040	255
45.6	1.990	268
65.3	1.429	227

```
Mg2H8Rh3
1.0
4.1692 -2.7470 0.0000
4.1692 2.7470 0.0000
-1.0580 0.0000 5.0189
Mg H Rh
2 8 3
Direct
0.2063 0.2063 0.2073 Mg
0.7937 0.7937 0.7927 Mg
0.1251 0.1251 0.5452 H
0.1676 0.6595 0.1524 H
0.3405 0.8324 0.8476 H
0.3889 0.3889 0.6488 H
0.6111 0.6111 0.3512 H
0.6595 0.1676 0.1524 H
0.8324 0.3405 0.8476 H
0.8749 0.8749 0.4548 H
0.2560 0.7440 0.5000 Rh
0.5000 0.5000 0.0000 Rh
0.7440 0.2560 0.5000 Rh
```

---

# MgH12Rh4
Computed powder XRD pattern, Cu Kα (weighted mean of Kα1 and Kα2). Input: a PBE-relaxed structure.
Neutral-atom scattering factors, no anomalous dispersion.

Largest 10 diffraction maxima, in order of rising 2θ, 10° ≤ 2θ ≤ 90°:
Position (°2θ)	d [Å]	I/Imax
19.6	4.525	18
27.9	3.200	1000
34.3	2.613	9
39.8	2.263	934
49.3	1.847	260
53.6	1.710	6
57.6	1.600	160
65.2	1.431	343
72.3	1.306	317
85.9	1.131	100

```
MgH12Rh4
1.0
-3.1999 3.1999 3.1999
3.1999 -3.1999 3.1999
3.1999 3.1999 -3.1999
Mg H Rh
1 12 4
Direct
0.0000 0.0000 0.0000 Mg
0.1354 0.3240 0.8113 H
0.1887 0.5127 0.3240 H
0.1887 0.8646 0.6760 H
0.3240 0.1887 0.5127 H
0.3240 0.8113 0.1354 H
0.4873 0.6760 0.8113 H
0.5127 0.3240 0.1887 H
0.6760 0.1887 0.8646 H
0.6760 0.8113 0.4873 H
0.8113 0.1354 0.3240 H
0.8113 0.4873 0.6760 H
0.8646 0.6760 0.1887 H
0.0000 0.0000 0.5000 Rh
0.0000 0.5000 0.0000 Rh
0.5000 0.0000 0.0000 Rh
0.5000 0.5000 0.5000 Rh
```